Structure and calculated X-ray powder pattern of Na2PaGeSe5 (a DFT-relaxed cell (PBE, Alexandria); Cu Kα X-rays).
Lines closer than 0.1° are merged.

Principal peaks in the range 2θ = 10–80°, by intensity:
2θ = 29.08°, rel. 100.0; 2θ = 13.17°, rel. 61.1; 2θ = 30.64°, rel. 49.0; 2θ = 16.48°, rel. 41.0; 2θ = 49.42°, rel. 39.1; 2θ = 35.11°, rel. 30.0; 2θ = 11.86°, rel. 29.9; 2θ = 39.76°, rel. 28.6

Structure:
```
Na2PaGeSe5
1.0
2.1682 -8.9664 0.0000
2.1682 8.9664 0.0000
0.0000 0.0000 13.4439
Na Pa Ge Se
4 2 2 10
direct
0.0973 0.9027 0.5000
0.0976 0.9024 0.8156
0.9024 0.0976 0.3156
0.9027 0.0973 0.0000
0.2209 0.7791 0.1893
0.7791 0.2209 0.6893
0.4329 0.5671 0.5827
0.5671 0.4329 0.0827
0.0578 0.9422 0.1772
0.2843 0.7157 0.8205
0.2944 0.7056 0.5471
0.3666 0.6334 0.1594
0.4911 0.5089 0.4255
0.5089 0.4911 0.9255
0.6334 0.3666 0.6594
0.7056 0.2944 0.0471
0.7157 0.2843 0.3205
0.9422 0.0578 0.6772
```